Diffraction record for La2NiP4Rh3. The X-ray powder pattern is simulated, not measured: it uses a structure optimized by DFT (GGA-PBE) and Cu Kα, 1.54184 Å.

Crystal structure
a = 4.224 Å, b = 4.224 Å, c = 9.493 Å
α = 90.00°, β = 90.00°, γ = 90.00°
Positions (direct):
La 0.000 0.500 0.247
La 0.500 0.000 0.753
Ni 0.000 0.000 0.500
P 0.000 0.000 0.000
P 0.000 0.500 0.630
P 0.500 0.000 0.370
P 0.500 0.500 0.000
Rh 0.000 0.500 0.888
Rh 0.500 0.000 0.112
Rh 0.500 0.500 0.500

Largest 8 diffraction maxima, low angle first, 15° ≤ 2θ ≤ 90°:
2θ/deg  Rel. int.
28.26  11
29.91  16
31.40  16
35.48  100
42.81  38
56.75  26
62.15  12
73.66  17

***

Diffraction record for Y2Os. The X-ray powder pattern is simulated, not measured: it uses a structure optimized by DFT (GGA-PBE) and Cu Kα, 1.54184 Å.

Crystal structure
a = 11.381 Å, b = 4.327 Å, c = 7.785 Å
α = 90.00°, β = 127.03°, γ = 90.00°
Positions (direct):
Y 0.093 0.000 0.367
Y 0.184 0.500 0.080
Y 0.316 0.000 0.920
Y 0.407 0.500 0.633
Y 0.593 0.500 0.367
Y 0.684 0.000 0.080
Y 0.816 0.500 0.920
Y 0.907 0.000 0.633
Os 0.137 0.500 0.646
Os 0.363 0.000 0.354
Os 0.637 0.000 0.646
Os 0.863 0.500 0.354

Largest 8 diffraction maxima, low angle first, 15° ≤ 2θ ≤ 90°:
2θ/deg  Rel. int.
15.78  45
31.55  30
31.82  100
33.28  27
36.20  49
40.70  46
41.55  44
41.75  43

***

Diffraction record for Sr4As3. The X-ray powder pattern is simulated, not measured: it uses a structure optimized by DFT (GGA-PBE) and Cu Kα, 1.54184 Å.

Crystal structure
a = 8.232 Å, b = 8.232 Å, c = 8.232 Å
α = 109.47°, β = 109.47°, γ = 109.47°
Positions (direct):
Sr 0.000 0.362 0.500
Sr 0.000 0.862 0.500
Sr 0.138 0.138 0.138
Sr 0.362 0.500 0.000
Sr 0.500 0.000 0.362
Sr 0.500 0.000 0.862
Sr 0.638 0.638 0.638
Sr 0.862 0.500 0.000
As 0.125 0.750 0.875
As 0.250 0.625 0.375
As 0.375 0.250 0.625
As 0.625 0.375 0.250
As 0.750 0.875 0.125
As 0.875 0.125 0.750

Largest 8 diffraction maxima, low angle first, 15° ≤ 2θ ≤ 90°:
2θ/deg  Rel. int.
29.72  100
35.33  62
46.82  15
48.86  23
60.00  25
61.72  11
63.42  14
73.17  16

***

Diffraction record for Al5ZnAg6. The X-ray powder pattern is simulated, not measured: it uses a structure optimized by DFT (GGA-PBE) and Cu Kα, 1.54184 Å.

Crystal structure
a = 4.946 Å, b = 5.742 Å, c = 7.978 Å
α = 110.48°, β = 105.91°, γ = 90.04°
Positions (direct):
Al 0.000 0.000 0.000
Al 0.334 0.334 0.667
Al 0.334 0.834 0.668
Al 0.666 0.166 0.332
Al 0.666 0.666 0.333
Zn 0.000 0.500 0.000
Ag 0.167 0.417 0.334
Ag 0.167 0.917 0.334
Ag 0.500 0.249 0.000
Ag 0.500 0.751 0.000
Ag 0.833 0.083 0.666
Ag 0.833 0.583 0.666

Largest 8 diffraction maxima, low angle first, 15° ≤ 2θ ≤ 90°:
2θ/deg  Rel. int.
25.45  72
26.50  66
36.36  100
37.77  90
40.50  74
40.80  72
41.17  70
41.53  68